(1)
For Cs3NaBr4, a cell relaxed with GGA-PBE gives the computed powder XRD pattern in this record (Cu Kα).
Peak positions follow from Bragg's law for the DFT cell and can differ from measured ones.

Cell and atoms:
abc: 8.650 8.650 5.045
angles: 90.00 90.00 108.96
Positions (direct):
Cs (0.000, 0.000, 0.000)
Cs (0.000, 0.500, 0.500)
Cs (0.500, 0.000, 0.500)
Na (0.500, 0.500, 0.000)
Br (0.273, 0.273, 0.500)
Br (0.277, 0.723, 0.000)
Br (0.723, 0.277, 0.000)
Br (0.727, 0.727, 0.500)

Top 8 peaks for 2θ = 5–70°, in order of falling intensity:
d/Å  I_rel
3.561  100
2.503  69
3.520  45
1.589  24
2.522  20
2.050  19
2.513  18
2.045  18



(2)
For Cs4NaBr4, a cell relaxed with GGA-PBE gives the computed powder XRD pattern in this record (Cu Kα).
Peak positions follow from Bragg's law for the DFT cell and can differ from measured ones.

Cell and atoms:
abc: 10.376 10.376 8.606
angles: 90.00 90.00 90.00
Positions (direct):
Cs (0.025, 0.250, 0.087)
Cs (0.250, 0.025, 0.587)
Cs (0.250, 0.475, 0.587)
Cs (0.475, 0.250, 0.087)
Cs (0.525, 0.750, 0.913)
Cs (0.750, 0.525, 0.413)
Cs (0.750, 0.975, 0.413)
Cs (0.975, 0.750, 0.913)
Na (0.250, 0.750, 0.250)
Na (0.750, 0.250, 0.750)
Br (0.032, 0.750, 0.473)
Br (0.250, 0.532, 0.027)
Br (0.250, 0.968, 0.027)
Br (0.468, 0.750, 0.473)
Br (0.532, 0.250, 0.527)
Br (0.750, 0.032, 0.973)
Br (0.750, 0.468, 0.973)
Br (0.968, 0.250, 0.527)

Top 8 peaks for 2θ = 5–70°, in order of falling intensity:
d/Å  I_rel
3.668  100
2.792  47
3.975  40
2.594  40
4.303  34
3.066  28
3.155  27
2.392  25



(3)
For CsNa3Br4, a cell relaxed with GGA-PBE gives the computed powder XRD pattern in this record (Cu Kα).
Peak positions follow from Bragg's law for the DFT cell and can differ from measured ones.

Cell and atoms:
abc: 7.917 7.917 4.506
angles: 90.12 90.12 70.40
Positions (direct):
Cs (0.000, 0.000, 0.000)
Na (0.500, 0.001, 0.500)
Na (0.500, 0.500, 0.000)
Na (0.999, 0.500, 0.500)
Br (0.266, 0.267, 0.995)
Br (0.286, 0.714, 0.500)
Br (0.713, 0.287, 0.500)
Br (0.733, 0.734, 0.005)

Top 8 peaks for 2θ = 5–70°, in order of falling intensity:
d/Å  I_rel
3.206  100
3.234  52
2.280  51
2.275  36
2.949  22
2.253  20
3.856  19
1.864  16